For Pr2HoTm12, a structure optimized by DFT (GGA-PBE) gives the calculated X-ray powder pattern in this record (Cu Kα (λ = 1.5418 Å)).

Main lines, sorted by position (15 to 90 degrees two-theta):
- d = 2.926 Å, I 100, (0 14 1)
- d = 2.840 Å, I 46, (1 5 1)
- d = 2.772 Å, I 69, (0 0 2)
- d = 2.746 Å, I 34, (1 11 0)
- d = 2.729 Å, I 61, (1 7 1)
- d = 2.650 Å, I 35, (0 16 1)

Cell and atoms:
```
data_Pr2HoTm12
_chemical_formula_sum 'Pr4 Ho2 Tm24'
_space_group_name_H-M_alt 'C m m m'
_space_group_IT_number 65
_space_group_name_Hall '-C 2 2'
_cell_length_a 3.5195
_cell_length_b 48.2859
_cell_length_c 5.5430
_cell_angle_alpha 90.00
_cell_angle_beta 90.00
_cell_angle_gamma 90.00
loop_
_atom_site_label
_atom_site_type_symbol
_atom_site_fract_x
_atom_site_fract_y
_atom_site_fract_z
_atom_site_occupancy
Pr1 Pr 0.0000 0.1360 0.0000 1
Ho1 Ho 0.0000 0.5000 0.0000 1
Tm1 Tm 0.0000 0.0370 0.5000 1
Tm2 Tm 0.0000 0.2230 0.5000 1
Tm3 Tm 0.0000 0.2852 0.0000 1
Tm4 Tm 0.0000 0.3340 0.5000 1
Tm5 Tm 0.0000 0.4001 0.5000 1
Tm6 Tm 0.0000 0.4326 0.0000 1
```